Starting from DFT lattice parameters and positions (GGA+U), the PXRD pattern of VFe3P6O24 was simulated for CuKα.
Intensities are scaled so that the largest is 100.

Peak list (10 most intense, 10° ≤ 2θ ≤ 90°, in order of rising 2θ)
Position (°2θ), d [Å], I (rel.)
14.25, 6.217, 49.4
19.91, 4.459, 59.7
20.48, 4.336, 27.2
23.79, 3.740, 100.0
28.72, 3.109, 47.6
31.81, 2.813, 49.0
35.87, 2.503, 13.5
45.76, 1.983, 11.3
52.37, 1.747, 14.6
56.13, 1.639, 12.9

Crystal structure
```
data_VFe3P6O24
_cell_length_a 8.926
_cell_length_b 8.926
_cell_length_c 8.926
_cell_angle_alpha 58.12
_cell_angle_beta 58.12
_cell_angle_gamma 58.12
_symmetry_space_group_name_H-M 'P 1'
_symmetry_Int_Tables_number 1
_symmetry_space_group_name_Hall 'P 1'
loop_
_atom_site_label
_atom_site_type_symbol
_atom_site_fract_x
_atom_site_fract_y
_atom_site_fract_z
V1 V 0.000 0.000 0.000
Fe1 Fe 0.216 0.216 0.216
Fe2 Fe 0.501 0.501 0.501
Fe3 Fe 0.716 0.716 0.716
P1 P 0.112 0.386 0.821
P2 P 0.319 0.889 0.615
P3 P 0.386 0.821 0.112
P4 P 0.615 0.319 0.889
P5 P 0.821 0.112 0.386
P6 P 0.889 0.615 0.319
O1 O 0.058 0.436 0.299
O2 O 0.067 0.218 0.863
O3 O 0.130 0.363 0.995
O4 O 0.136 0.933 0.785
O5 O 0.218 0.863 0.067
O6 O 0.299 0.058 0.436
O7 O 0.301 0.383 0.659
O8 O 0.340 0.711 0.606
O9 O 0.363 0.995 0.130
O10 O 0.383 0.659 0.301
O11 O 0.436 0.299 0.058
O12 O 0.484 0.857 0.651
O13 O 0.572 0.772 0.955
O14 O 0.606 0.340 0.711
O15 O 0.651 0.484 0.857
O16 O 0.659 0.301 0.383
O17 O 0.711 0.606 0.340
O18 O 0.772 0.955 0.572
O19 O 0.785 0.136 0.933
O20 O 0.857 0.651 0.484
O21 O 0.863 0.067 0.218
O22 O 0.933 0.785 0.136
O23 O 0.955 0.572 0.772
O24 O 0.995 0.130 0.363
```